No. 1
This entry pairs a crystal structure of Mg2Ga5 with its computed XRD peak list. Radiation: Cu Kα (weighted mean of Kα1 and Kα2). Structure: a structure optimized by DFT (GGA-PBE).
Neutral-atom scattering factors, no anomalous dispersion.

Atomic structure:
a b c (Å): 7.1152 7.1152 7.1152
angles (deg): 104.59 104.59 119.76
Element x y z (fractional)
Mg: 0.2009 0.2009 0.4018
Mg: 0.2009 0.7991 0.0000
Mg: 0.7991 0.2009 0.0000
Mg: 0.7991 0.7991 0.5982
Ga: 0.0186 0.3169 0.7017
Ga: 0.2098 0.2098 0.0000
Ga: 0.3169 0.0186 0.7017
Ga: 0.3169 0.6152 0.2983
Ga: 0.3848 0.6831 0.7017
Ga: 0.6152 0.3169 0.2983
Ga: 0.6831 0.3848 0.7017
Ga: 0.6831 0.9814 0.2983
Ga: 0.7902 0.7902 0.0000
Ga: 0.9814 0.6831 0.2983

Principal peaks in the range 15 to 90 degrees two-theta, in order of rising 2θ:
2theta, I (rel.)
24.94, 54
26.07, 47
29.02, 30
32.49, 84
33.34, 40
38.63, 27
41.47, 93
44.15, 61
44.62, 100
49.03, 25
51.37, 24
70.42, 61

***

No. 2
This entry pairs a crystal structure of Cs2WBr7 with its computed XRD peak list. Radiation: Cu Kα (weighted mean of Kα1 and Kα2). Structure: a structure optimized by DFT (GGA-PBE).
Neutral-atom scattering factors, no anomalous dispersion.

Atomic structure:
a b c (Å): 10.0377 10.0377 13.4081
angles (deg): 125.98 125.98 48.89
Element x y z (fractional)
Cs: 0.0436 0.6768 0.9481
Cs: 0.3232 0.9564 0.5519
Cs: 0.6768 0.0436 0.4481
Cs: 0.9564 0.3232 0.0519
W: 0.2710 0.7290 0.7500
W: 0.7290 0.2710 0.2500
Br: 0.0824 0.0984 0.2586
Br: 0.0984 0.0824 0.7586
Br: 0.1957 0.6433 0.5108
Br: 0.1994 0.4687 0.6777
Br: 0.3567 0.8043 0.9892
Br: 0.4111 0.5889 0.2500
Br: 0.4687 0.1994 0.1777
Br: 0.5313 0.8006 0.8223
Br: 0.5889 0.4111 0.7500
Br: 0.6433 0.1957 0.0108
Br: 0.8006 0.5313 0.3223
Br: 0.8043 0.3567 0.4892
Br: 0.9016 0.9176 0.2414
Br: 0.9176 0.9016 0.7414

Principal peaks in the range 15 to 90 degrees two-theta, in order of rising 2θ:
2theta, I (rel.)
17.33, 100
19.45, 44
21.39, 31
28.34, 95
29.07, 99
29.24, 45
35.05, 33
35.41, 47
35.80, 38
37.35, 33
41.66, 35
47.38, 34

***

No. 3
This entry pairs a crystal structure of Li3SbP2O8 with its computed XRD peak list. Radiation: Cu Kα (weighted mean of Kα1 and Kα2). Structure: a structure optimized by DFT (GGA-PBE).
Neutral-atom scattering factors, no anomalous dispersion.

Atomic structure:
a b c (Å): 8.3562 8.3562 8.3562
angles (deg): 68.88 68.88 68.88
Element x y z (fractional)
Li: 0.0000 0.0000 0.0000
Li: 0.0890 0.3269 0.8340
Li: 0.1542 0.1542 0.1542
Li: 0.2346 0.8470 0.6155
Li: 0.3269 0.8340 0.0890
Li: 0.4904 0.4904 0.4904
Li: 0.6155 0.2346 0.8470
Li: 0.8340 0.0890 0.3269
Li: 0.8470 0.6155 0.2346
Sb: 0.3394 0.3394 0.3394
Sb: 0.6451 0.6451 0.6451
Sb: 0.8316 0.8316 0.8316
P: 0.0732 0.7342 0.3986
P: 0.2473 0.5822 0.9161
P: 0.3986 0.0732 0.7342
P: 0.5822 0.9161 0.2473
P: 0.7342 0.3986 0.0732
P: 0.9161 0.2473 0.5822
O: 0.0439 0.7956 0.5629
O: 0.0488 0.3194 0.6036
O: 0.0827 0.8942 0.2328
O: 0.0906 0.7580 0.8800
O: 0.1906 0.4122 0.9711
O: 0.2328 0.0827 0.8942
O: 0.2606 0.5881 0.3894
O: 0.3194 0.6036 0.0488
O: 0.3894 0.2606 0.5881
O: 0.3915 0.5902 0.7237
O: 0.4119 0.9266 0.6559
O: 0.4122 0.9711 0.1906
O: 0.5629 0.0439 0.7956
O: 0.5881 0.3894 0.2606
O: 0.5902 0.7237 0.3915
O: 0.6036 0.0488 0.3194
O: 0.6559 0.4119 0.9266
O: 0.7237 0.3915 0.5902
O: 0.7580 0.8800 0.0906
O: 0.7956 0.5629 0.0439
O: 0.8800 0.0906 0.7580
O: 0.8942 0.2328 0.0827
O: 0.9266 0.6559 0.4119
O: 0.9711 0.1906 0.4122

Principal peaks in the range 15 to 90 degrees two-theta, in order of rising 2θ:
2theta, I (rel.)
18.78, 66
21.64, 100
23.49, 92
28.80, 21
32.82, 99
34.10, 71
34.61, 36
43.81, 20
48.06, 47
51.14, 23
59.42, 40
68.83, 21

***

No. 4
This entry pairs a crystal structure of Pm3Zn3Cu8 with its computed XRD peak list. Radiation: Cu Kα (weighted mean of Kα1 and Kα2). Structure: a structure optimized by DFT (GGA-PBE).
Neutral-atom scattering factors, no anomalous dispersion.

Atomic structure:
a b c (Å): 7.9986 7.9986 7.9986
angles (deg): 149.01 112.29 76.31
Element x y z (fractional)
Pm: 0.0000 0.0000 0.0000
Pm: 0.2986 0.2986 0.0000
Pm: 0.7014 0.7014 0.0000
Zn: 0.2921 0.5000 0.7921
Zn: 0.5000 0.0000 0.5000
Zn: 0.7079 0.5000 0.2079
Cu: 0.0259 0.6688 0.3571
Cu: 0.1538 0.8718 0.2820
Cu: 0.3117 0.6688 0.6429
Cu: 0.4103 0.1282 0.2820
Cu: 0.5897 0.8718 0.7180
Cu: 0.6883 0.3312 0.3571
Cu: 0.8462 0.1282 0.7180
Cu: 0.9741 0.3312 0.6429

Principal peaks in the range 15 to 90 degrees two-theta, in order of rising 2θ:
2theta, I (rel.)
29.85, 28
34.92, 25
36.15, 100
36.86, 66
37.09, 29
39.63, 25
41.66, 20
42.29, 47
43.14, 19
55.95, 16
57.49, 16
70.85, 24

***

No. 5
This entry pairs a crystal structure of MgTl3Pb6 with its computed XRD peak list. Radiation: Cu Kα (weighted mean of Kα1 and Kα2). Structure: a structure optimized by DFT (GGA-PBE).
Neutral-atom scattering factors, no anomalous dispersion.

Atomic structure:
a b c (Å): 6.3848 6.3848 8.9342
angles (deg): 90.00 90.00 120.00
Element x y z (fractional)
Mg: 0.0000 0.0000 0.0000
Tl: 0.0000 0.0000 0.5000
Tl: 0.3333 0.6667 0.5000
Tl: 0.6667 0.3333 0.5000
Pb: 0.0000 0.3966 0.8192
Pb: 0.0000 0.6034 0.1808
Pb: 0.3966 0.0000 0.8192
Pb: 0.3966 0.3966 0.1808
Pb: 0.6034 0.0000 0.1808
Pb: 0.6034 0.6034 0.8192

Principal peaks in the range 15 to 90 degrees two-theta, in order of rising 2θ:
2theta, I (rel.)
29.72, 100
30.01, 39
32.38, 13
34.53, 74
44.52, 12
49.45, 17
49.83, 24
58.93, 18
59.26, 15
61.33, 13
64.21, 10
82.91, 9

***

No. 6
This entry pairs a crystal structure of Pm3PrDy2S6 with its computed XRD peak list. Radiation: Cu Kα (weighted mean of Kα1 and Kα2). Structure: a structure optimized by DFT (GGA-PBE).
Neutral-atom scattering factors, no anomalous dispersion.

Atomic structure:
a b c (Å): 6.9384 6.9384 6.9360
angles (deg): 99.58 99.58 120.15
Element x y z (fractional)
Pm: 0.0000 0.0000 0.0000
Pm: 0.3384 0.6616 0.0000
Pm: 0.6616 0.3384 0.0000
Pr: 0.5000 0.5000 0.5000
Dy: 0.1661 0.8339 0.5000
Dy: 0.8339 0.1661 0.5000
S: 0.0740 0.4184 0.2549
S: 0.2361 0.2361 0.7409
S: 0.4184 0.0740 0.2549
S: 0.5816 0.9260 0.7451
S: 0.7639 0.7639 0.2591
S: 0.9260 0.5816 0.7451

Principal peaks in the range 15 to 90 degrees two-theta, in order of rising 2θ:
2theta, I (rel.)
27.28, 78
31.61, 100
45.26, 36
45.35, 36
53.66, 22
53.74, 16
56.25, 19
66.00, 11
72.89, 8
74.95, 10
75.05, 16
83.62, 14